Starting from a PBE-relaxed structure, the powder diffraction line list of Tb8Ho3Tm was simulated for λ = 1.5418 Å (Cu Kα).

Main lines, sorted by position (10° ≤ 2θ ≤ 80°):
Position (°2θ)  d (Å)  I (rel.)
20.11  4.415  27
23.26  3.824  12
33.13  2.704  100
39.06  2.306  15
47.56  1.912  18
52.13  1.754  7
53.59  1.710  5
59.19  1.561  38
69.53  1.352  12
79.22  1.209  16

Structural model:
a b c (Å): 7.648 7.648 15.294
angles (deg): 90.00 90.00 90.00
Space group I4/mmm (No. 139)
Asymmetric unit:
Tb1 0.250 0.250 0.125 x16
Ho1 0.000 0.000 0.000 x2
Ho2 0.000 0.500 0.250 x4
Tm1 0.000 0.000 0.500 x2

Starting from a PBE-relaxed structure, the powder diffraction line list of NdNi2AsPt2 was simulated for λ = 1.5418 Å (Cu Kα).

Main lines, sorted by position (10° ≤ 2θ ≤ 80°):
Position (°2θ)  d (Å)  I (rel.)
16.97  5.225  35
31.63  2.829  100
34.33  2.612  38
37.81  2.379  70
41.71  2.165  15
51.99  1.759  47
54.55  1.682  24
59.80  1.547  25
64.44  1.446  27
66.06  1.414  23

Structural model:
a b c (Å): 4.758 4.758 10.449
angles (deg): 90.00 90.00 90.00
Space group I4/mmm (No. 139)
Asymmetric unit:
Nd1 0.000 0.000 0.000 x2
Ni1 0.000 0.000 0.291 x4
As1 0.000 0.000 0.500 x2
Pt1 0.000 0.500 0.250 x4

Starting from a PBE-relaxed structure, the powder diffraction line list of Na4HgPd was simulated for λ = 1.5418 Å (Cu Kα).

Main lines, sorted by position (10° ≤ 2θ ≤ 80°):
Position (°2θ)  d (Å)  I (rel.)
18.84  4.710  100
20.76  4.278  34
30.14  2.965  11
31.72  2.821  24
35.29  2.544  77
36.25  2.478  32
36.88  2.437  34
38.21  2.355  20
48.70  1.870  13
65.42  1.427  11

Structural model:
a b c (Å): 5.934 17.112 5.645
angles (deg): 90.00 91.92 90.00
Space group C2/c (No. 15)
Asymmetric unit:
Na1 0.236 0.028 0.113 x8
Na2 0.248 0.203 0.257 x8
Hg1 0.000 0.368 0.250 x4
Pd1 0.000 0.134 0.750 x4

Starting from a PBE-relaxed structure, the powder diffraction line list of Sr2Cd6InAu was simulated for λ = 1.5418 Å (Cu Kα).

Main lines, sorted by position (10° ≤ 2θ ≤ 80°):
Position (°2θ)  d (Å)  I (rel.)
16.39  5.410  29
18.02  4.923  35
21.95  4.049  29
30.57  2.924  100
34.39  2.608  30
36.51  2.461  55
36.67  2.451  76
37.96  2.371  37
43.05  2.101  24
45.25  2.004  45

Structural model:
a b c (Å): 8.097 9.845 7.270
angles (deg): 90.00 90.00 90.00
Space group Pmmn (No. 59, origin choice 2)
Asymmetric unit:
Sr1 0.250 0.027 0.221 x4
Cd1 0.063 0.250 0.880 x4
Cd2 0.078 0.750 0.526 x4
Cd3 0.250 0.502 0.717 x4
In1 0.250 0.750 0.932 x2
Au1 0.250 0.250 0.531 x2

Starting from a PBE-relaxed structure, the powder diffraction line list of Tm2ZnPd2 was simulated for λ = 1.5418 Å (Cu Kα).

Main lines, sorted by position (10° ≤ 2θ ≤ 80°):
Position (°2θ)  d (Å)  I (rel.)
26.06  3.419  39
32.11  2.788  36
32.58  2.748  53
34.66  2.588  100
35.79  2.509  40
37.83  2.378  49
37.99  2.369  87
38.32  2.349  41
38.48  2.339  88
41.41  2.181  52

Structural model:
a b c (Å): 9.789 5.528 7.747
angles (deg): 90.00 106.28 90.00
Space group C2/c (No. 15)
Asymmetric unit:
Tm1 0.150 0.145 0.149 x8
Zn1 0.000 0.314 0.750 x4
Pd1 0.131 0.370 0.499 x8

Starting from a PBE-relaxed structure, the powder diffraction line list of K3PaBr8 was simulated for λ = 1.5418 Å (Cu Kα).

Main lines, sorted by position (10° ≤ 2θ ≤ 80°):
Position (°2θ)  d (Å)  I (rel.)
11.69  7.570  58
16.56  5.353  25
20.32  4.370  34
33.48  2.676  100
35.58  2.523  17
39.48  2.282  17
43.09  2.100  27
48.08  1.892  15
59.86  1.545  27
66.52  1.406  13

Structural model:
a b c (Å): 7.570 7.570 7.570
angles (deg): 90.00 90.00 90.00
Space group Pm-3m (No. 221)
Asymmetric unit:
K1 0.000 0.000 0.500 x3
Pa1 0.500 0.500 0.500 x1
Br1 0.277 0.277 0.277 x8

Starting from a PBE-relaxed structure, the powder diffraction line list of AcBiH2O4 was simulated for λ = 1.5418 Å (Cu Kα).

Main lines, sorted by position (10° ≤ 2θ ≤ 80°):
Position (°2θ)  d (Å)  I (rel.)
23.11  3.849  100
26.96  3.307  27
31.43  2.847  25
34.34  2.612  17
35.80  2.508  82
41.87  2.157  26
44.19  2.050  24
47.23  1.924  18
55.20  1.664  34
58.82  1.570  17

Structural model:
a b c (Å): 5.223 5.693 6.614
angles (deg): 90.00 90.00 90.00
Space group I222 (No. 23)
Asymmetric unit:
Ac1 0.000 0.000 0.000 x2
Bi1 0.000 0.000 0.500 x2
H1 0.000 0.500 0.223 x4
O1 0.176 0.354 0.774 x8

Starting from a PBE-relaxed structure, the powder diffraction line list of SrTl3Hg3 was simulated for λ = 1.5418 Å (Cu Kα).

Main lines, sorted by position (10° ≤ 2θ ≤ 80°):
Position (°2θ)  d (Å)  I (rel.)
23.01  3.866  13
29.84  2.994  100
31.33  2.855  21
34.14  2.626  31
35.47  2.531  98
39.23  2.297  16
42.70  2.117  13
47.01  1.933  14
60.25  1.536  23
66.21  1.412  14

Structural model:
a b c (Å): 9.469 9.469 9.469
angles (deg): 90.00 90.00 90.00
Space group P2_13 (No. 198)
Asymmetric unit:
Sr1 0.044 0.456 0.544 x4
Tl1 0.113 0.613 0.887 x4
Tl2 0.167 0.833 0.333 x4
Tl3 0.177 0.177 0.177 x4
Hg1 0.024 0.297 0.876 x12

Starting from a PBE-relaxed structure, the powder diffraction line list of Rb3SbTe3 was simulated for λ = 1.5418 Å (Cu Kα).

Main lines, sorted by position (10° ≤ 2θ ≤ 80°):
Position (°2θ)  d (Å)  I (rel.)
13.67  6.478  42
19.81  4.483  39
23.71  3.753  37
24.96  3.568  62
25.30  3.520  40
26.11  3.413  74
28.96  3.083  46
29.51  3.027  53
30.14  2.965  76
30.95  2.889  100

Structural model:
a b c (Å): 14.207 5.779 15.790
angles (deg): 90.00 90.00 90.00
Space group Pnma (No. 62)
Asymmetric unit:
Rb1 0.061 0.250 0.105 x4
Rb2 0.146 0.750 0.482 x4
Rb3 0.231 0.750 0.782 x4
Sb1 0.058 0.250 0.697 x4
Te1 0.012 0.250 0.336 x4
Te2 0.105 0.250 0.874 x4
Te3 0.237 0.250 0.618 x4